# ErTlW2O8
Simulated PXRD pattern, Cu Kα (λ = 1.5418 Å). Input: a DFT-relaxed cell (GGA+U, Alexandria).
No peak broadening, texture or thermal motion is included.

Largest 10 diffraction maxima, by angle, 2θ = 5–70°:
d [Å], 2θ/deg, I/Imax
3.292, 27.09, 100.0
3.265, 27.31, 28.5
3.055, 29.23, 94.4
2.839, 31.51, 37.5
2.739, 32.70, 24.3
2.703, 33.15, 18.8
2.659, 33.71, 19.1
1.941, 46.81, 19.1
1.868, 48.76, 29.1
1.644, 55.92, 20.8

Structure:
abc: 11.0287 10.6356 7.4709
angles: 90.00 130.52 90.00
Space group C2/c (No. 15)
Asymmetric unit:
Er1 0.0000 0.2231 0.2500 [4 per cell]
Tl1 0.0000 0.2106 0.7500 [4 per cell]
W1 0.1957 0.4954 0.2130 [8 per cell]
O1 0.0153 0.3892 0.4607 [8 per cell]
O2 0.1379 0.0959 0.1981 [8 per cell]
O3 0.1872 0.4351 0.9402 [8 per cell]
O4 0.2062 0.1513 0.6180 [8 per cell]